Calculated powder X-ray diffraction pattern
Compound: VGe2O6
Radiation: a wavelength of 1.5418 Å
Structure: a cell relaxed with GGA+U

Structure:
Unit cell a=9.7125 b=8.8760 c=5.5786 alpha=90.00 beta=103.12 gamma=90.00
Positions (direct):
V (0.2500, 0.1494, 0.0008)
V (0.2500, 0.3506, 0.5008)
V (0.7500, 0.6494, 0.4992)
V (0.7500, 0.8506, 0.9992)
Ge (0.0472, 0.6607, 0.3187)
Ge (0.0472, 0.8393, 0.8187)
Ge (0.4574, 0.6644, 0.7079)
Ge (0.4574, 0.8356, 0.2079)
Ge (0.5426, 0.1644, 0.7921)
Ge (0.5426, 0.3356, 0.2921)
Ge (0.9528, 0.1607, 0.1813)
Ge (0.9528, 0.3393, 0.6813)
O (0.1045, 0.0269, 0.8215)
O (0.1045, 0.4731, 0.3215)
O (0.1210, 0.7473, 0.6004)
O (0.1210, 0.7527, 0.1004)
O (0.1429, 0.1813, 0.2543)
O (0.1429, 0.3187, 0.7543)
O (0.3547, 0.1754, 0.7194)
O (0.3547, 0.3246, 0.2194)
O (0.3886, 0.7136, 0.9616)
O (0.3886, 0.7864, 0.4616)
O (0.3900, 0.0206, 0.1383)
O (0.3900, 0.4794, 0.6382)
O (0.6100, 0.5206, 0.3618)
O (0.6100, 0.9794, 0.8618)
O (0.6114, 0.2136, 0.5384)
O (0.6114, 0.2864, 0.0384)
O (0.6453, 0.6754, 0.7806)
O (0.6453, 0.8246, 0.2806)
O (0.8571, 0.6813, 0.2457)
O (0.8571, 0.8187, 0.7457)
O (0.8790, 0.2473, 0.8996)
O (0.8790, 0.2527, 0.3996)
O (0.8955, 0.5269, 0.6785)
O (0.8955, 0.9731, 0.1785)

The 6 most intense peaks (10° ≤ 2θ ≤ 80°), in order of rising 2θ:
2θ/deg, intensity
19.15, 47
20.01, 47
26.29, 35
28.88, 100
30.08, 65
34.13, 44